(1)
Simulated X-ray powder pattern of Li3TiP2O8 for Cu Kα (weighted mean of Kα1 and Kα2), from DFT lattice parameters and positions (GGA-PBE).

Structure:
a = 4.980 Å, b = 8.926 Å, c = 7.814 Å
α = 90.00°, β = 124.72°, γ = 90.00°
Space group P2_1/c (No. 14)
Asymmetric unit:
Li 0.000 0.000 0.000 x2
Li 0.319 0.142 0.804 x4
Ti 0.500 0.000 0.500 x2
P 0.195 0.681 0.223 x4
O 0.140 0.134 0.478 x4
O 0.180 0.645 0.749 x4
O 0.259 0.599 0.413 x4
O 0.475 0.643 0.193 x4

Principal peaks in the range 2θ = 15–90°, low angle first:
2θ (°)  intensity
17.01  100
23.91  96
24.28  54
25.59  79
29.60  37
31.00  26
33.51  30
34.40  70
35.17  64
37.62  38

=====

(2)
Simulated X-ray powder pattern of LiTi2P3O11 for Cu Kα (weighted mean of Kα1 and Kα2), from DFT lattice parameters and positions (GGA-PBE).

Structure:
a = 11.763 Å, b = 8.789 Å, c = 8.860 Å
α = 90.00°, β = 115.68°, γ = 90.00°
Space group C2 (No. 5)
Asymmetric unit:
Li 0.249 0.000 0.261 x4
Ti 0.124 0.471 0.293 x4
Ti 0.125 0.001 0.794 x4
P 0.000 0.190 0.000 x2
P 0.000 0.281 0.500 x2
P 0.111 0.673 0.963 x4
P 0.112 0.800 0.464 x4
O 0.000 0.730 0.500 x2
O 0.000 0.745 0.000 x2
O 0.058 0.567 0.812 x4
O 0.060 0.905 0.313 x4
O 0.064 0.179 0.656 x4
O 0.064 0.292 0.157 x4
O 0.106 0.383 0.495 x4
O 0.107 0.089 0.997 x4
O 0.181 0.809 0.938 x4
O 0.183 0.661 0.445 x4
O 0.191 0.582 0.126 x4
O 0.191 0.891 0.627 x4

Principal peaks in the range 2θ = 15–90°, low angle first:
2θ (°)  intensity
16.73  32
19.40  78
23.10  58
27.20  27
27.39  58
29.51  18
30.24  100
33.80  49
36.94  31
58.83  16

=====

(3)
Simulated X-ray powder pattern of LiTiP2O7 for Cu Kα (weighted mean of Kα1 and Kα2), from DFT lattice parameters and positions (GGA-PBE).

Structure:
a = 7.075 Å, b = 8.356 Å, c = 9.122 Å
α = 90.00°, β = 114.61°, γ = 90.00°
Space group P2_1/c (No. 14)
Asymmetric unit:
Li 0.207 0.053 0.334 x4
Ti 0.264 0.072 0.889 x4
P 0.036 0.730 0.967 x4
P 0.441 0.738 0.256 x4
O 0.023 0.097 0.658 x4
O 0.079 0.607 0.404 x4
O 0.119 0.248 0.456 x4
O 0.248 0.665 0.104 x4
O 0.385 0.248 0.304 x4
O 0.385 0.610 0.814 x4
O 0.487 0.597 0.382 x4

Principal peaks in the range 2θ = 15–90°, low angle first:
2θ (°)  intensity
15.05  39
17.15  57
21.27  31
25.25  27
29.17  77
29.41  100
30.12  96
35.22  22
42.54  31
57.70  24

=====

(4)
Simulated X-ray powder pattern of LiTi2P3O12 for Cu Kα (weighted mean of Kα1 and Kα2), from DFT lattice parameters and positions (GGA-PBE).

Structure:
a = 8.6227 Å, b = 8.6227 Å, c = 21.0816 Å
α = 90.00°, β = 90.00°, γ = 120.00°
Space group R-3c (No. 167, hexagonal axes)
Asymmetric unit:
Li 0.0000 0.0000 0.0000 x6
Ti 0.0000 0.0000 0.1415 x12
P 0.0000 0.2905 0.2500 x18
O 0.0027 0.1883 0.1903 x36
O 0.0239 0.1885 0.9196 x36

Principal peaks in the range 2θ = 15–90°, low angle first:
2θ (°)  intensity
20.62  58
24.22  100
29.31  27
31.99  16
32.88  25
36.09  22
43.97  10
47.18  18
49.61  15
56.49  24

=====

(5)
Simulated X-ray powder pattern of LiTi2P3O12 for Cu Kα (weighted mean of Kα1 and Kα2), from DFT lattice parameters and positions (GGA-PBE).

Structure:
a = 8.446 Å, b = 8.455 Å, c = 8.935 Å
α = 117.96°, β = 90.18°, γ = 119.63°
Space group P-1 (No. 2)
Asymmetric unit:
Li 0.076 0.390 0.141 x2
Ti 0.149 0.284 0.432 x2
Ti 0.363 0.716 0.063 x2
P 0.031 0.781 0.244 x2
P 0.246 0.776 0.748 x2
P 0.466 0.502 0.252 x2
O 0.020 0.224 0.592 x2
O 0.090 0.810 0.715 x2
O 0.105 0.005 0.277 x2
O 0.146 0.388 0.925 x2
O 0.186 0.730 0.212 x2
O 0.211 0.728 0.899 x2
O 0.226 0.587 0.579 x2
O 0.263 0.371 0.261 x2
O 0.384 0.367 0.568 x2
O 0.448 0.983 0.811 x2
O 0.472 0.659 0.204 x2
O 0.496 0.655 0.894 x2

Principal peaks in the range 2θ = 15–90°, low angle first:
2θ (°)  intensity
19.84  51
19.94  20
21.03  15
24.03  48
24.18  100
28.89  24
29.09  18
29.19  21
31.72  16
31.89  31